No. 1
Simulated powder X-ray diffraction pattern
Compound: Cs3HS2F12
Radiation: Cu Ka
Structure: the GGA-PBE geometry in the Materials Project
Lines closer than 0.1° are merged.

Largest 8 diffraction maxima, by angle, 5° ≤ 2θ ≤ 70°:
21.19 deg, I 943, hkl 0 2 1; 21.95 deg, I 698, hkl 2 0 1; 22.93 deg, I 978, hkl 1 2 1; 23.46 deg, I 843, hkl 2 1 1; 26.81 deg, I 558, hkl 0 0 2; 27.48 deg, I 549, hkl 3 1 0; 36.28 deg, I 1000, hkl 2 2 2; 38.73 deg, I 510, hkl 4 1 1

Atomic structure:
```
data_Cs3HS2F12
_chemical_formula_sum 'Cs6 H2 S4 F24'
_cell_length_a 10.2096
_cell_length_b 10.8021
_cell_length_c 6.6517
_cell_angle_alpha 90.00
_cell_angle_beta 90.00
_cell_angle_gamma 90.00
_space_group_name_H-M_alt 'P b a 2'
_space_group_IT_number 32
_space_group_name_Hall 'P 2 -2ab'
loop_
_atom_site_label
_atom_site_fract_x
_atom_site_fract_y
_atom_site_fract_z
Cs1 0.0000 0.0000 0.0000
Cs2 0.1972 0.3006 0.5046
H1 0.0000 0.0000 0.5136
S1 0.1153 0.6158 0.0052
F1 0.0212 0.8960 0.5149
F2 0.0386 0.7090 0.1853
F3 0.0405 0.7023 0.8161
F4 0.2096 0.5433 0.2002
F5 0.2143 0.5409 0.8184
F6 0.2292 0.7209 0.0045
```

No. 2
Simulated powder X-ray diffraction pattern
Compound: In2Hg6P3Cl9
Radiation: Cu Ka
Structure: the GGA-PBE geometry in the Materials Project
Lines closer than 0.1° are merged.

Largest 8 diffraction maxima, by angle, 5° ≤ 2θ ≤ 70°:
12.37 deg, I 515, hkl 1 1 0; 18.02 deg, I 586, hkl 1 1 -2; 18.72 deg, I 683, hkl 2 1 -1; 25.55 deg, I 528, hkl 2 1 1; 26.19 deg, I 507, hkl 1 3 0; 26.91 deg, I 603, hkl 0 0 3; 29.25 deg, I 1000, hkl 2 2 1; 30.42 deg, I 799, hkl 3 2 -1

Atomic structure:
```
data_In2Hg6P3Cl9
_chemical_formula_sum 'In4 Hg12 P6 Cl18'
_cell_length_a 10.5411
_cell_length_b 10.9416
_cell_length_c 11.0746
_cell_angle_alpha 90.00
_cell_angle_beta 116.26
_cell_angle_gamma 90.00
_space_group_name_H-M_alt 'P 1 21 1'
_space_group_IT_number 4
_space_group_name_Hall 'P 2yb'
loop_
_atom_site_label
_atom_site_fract_x
_atom_site_fract_y
_atom_site_fract_z
In1 0.1402 0.0000 0.4102
In2 0.1922 0.3706 0.8298
Hg1 0.0116 0.9363 0.8264
Hg2 0.2209 0.6850 0.1243
Hg3 0.3286 0.6076 0.5081
Hg4 0.3545 0.7652 0.8517
Hg5 0.3695 0.3501 0.2761
Hg6 0.3804 0.0105 0.1294
P1 0.2252 0.5245 0.2801
P2 0.2376 0.8471 0.9807
P3 0.4822 0.6821 0.7335
Cl1 0.0127 0.9980 0.1410
Cl2 0.0319 0.7785 0.3700
Cl3 0.1349 0.5458 0.6517
Cl4 0.1544 0.2199 0.9819
Cl5 0.1912 0.2189 0.4032
Cl6 0.1986 0.9789 0.6518
Cl7 0.3642 0.9123 0.4147
Cl8 0.3790 0.2773 0.7872
Cl9 0.3798 0.4973 0.0152
```